Structure and simulated X-ray powder pattern of Sm4Te4Pb (a structure optimized by DFT (GGA-PBE); λ = 1.5418 Å (Cu Kα)).

Largest 8 diffraction maxima, sorted by position, 10° ≤ 2θ ≤ 90°:
- d 3.171, rel. 100
- d 3.152, rel. 48
- d 2.261, rel. 19
- d 2.236, rel. 75
- d 2.224, rel. 18
- d 1.837, rel. 21
- d 1.817, rel. 20
- d 1.286, rel. 19

Lattice parameters (Å, degrees): 7.798 7.798 11.033 118.83 118.83 33.14
Fractional coordinates of all 9 atoms:
1 Sm 0.097 0.097 0.398
2 Sm 0.300 0.300 0.197
3 Sm 0.700 0.700 0.803
4 Sm 0.903 0.903 0.602
5 Te 0.103 0.103 0.900
6 Te 0.302 0.302 0.702
7 Te 0.698 0.698 0.298
8 Te 0.897 0.897 0.100
9 Pb 0.500 0.500 0.500


Structure and simulated X-ray powder pattern of AcPmNd5Y2 (a structure optimized by DFT (GGA-PBE); λ = 1.5418 Å (Cu Kα)).

Largest 8 diffraction maxima, sorted by position, 10° ≤ 2θ ≤ 90°:
- d 2.953, rel. 35
- d 2.946, rel. 34
- d 2.921, rel. 100
- d 2.899, rel. 8
- d 2.086, rel. 17
- d 1.696, rel. 22
- d 1.681, rel. 11
- d 1.518, rel. 8

Lattice parameters (Å, degrees): 9.345 9.345 12.270 90.00 90.00 143.25
Fractional coordinates of all 18 atoms:
1 Ac 0.114 0.886 0.500
2 Ac 0.886 0.114 0.000
3 Pm 0.248 0.752 0.000
4 Pm 0.752 0.248 0.500
5 Nd 0.078 0.922 0.841
6 Nd 0.080 0.920 0.164
7 Nd 0.268 0.732 0.296
8 Nd 0.269 0.731 0.705
9 Nd 0.439 0.561 0.148
10 Nd 0.561 0.439 0.648
11 Nd 0.731 0.269 0.205
12 Nd 0.732 0.268 0.796
13 Nd 0.920 0.080 0.664
14 Nd 0.922 0.078 0.341
15 Y 0.390 0.610 0.500
16 Y 0.438 0.562 0.853
17 Y 0.562 0.438 0.353
18 Y 0.610 0.390 0.000


Structure and simulated X-ray powder pattern of HRu3 (a structure optimized by DFT (GGA-PBE); λ = 1.5418 Å (Cu Kα)).

Largest 8 diffraction maxima, sorted by position, 10° ≤ 2θ ≤ 90°:
- d 2.547, rel. 50
- d 2.251, rel. 55
- d 2.164, rel. 82
- d 1.968, rel. 100
- d 1.687, rel. 28
- d 1.238, rel. 21
- d 1.149, rel. 21
- d 1.126, rel. 28

Lattice parameters (Å, degrees): 4.539 4.539 4.539 145.23 70.77 120.53
Fractional coordinates of all 4 atoms:
1 H 0.000 0.000 0.000
2 Ru 0.191 0.499 0.692
3 Ru 0.499 0.999 0.500
4 Ru 0.807 0.499 0.308


Structure and simulated X-ray powder pattern of Sm2Zn3Ni12Ir (a structure optimized by DFT (GGA-PBE); λ = 1.5418 Å (Cu Kα)).

Largest 8 diffraction maxima, sorted by position, 10° ≤ 2θ ≤ 90°:
- d 2.795, rel. 100
- d 2.502, rel. 29
- d 2.464, rel. 49
- d 2.219, rel. 43
- d 2.035, rel. 49
- d 1.812, rel. 25
- d 1.668, rel. 26
- d 1.470, rel. 32

Lattice parameters (Å, degrees): 9.656 9.656 9.656 35.44 35.44 35.44
Fractional coordinates of all 18 atoms:
1 Sm 0.147 0.147 0.147
2 Sm 0.853 0.853 0.853
3 Zn 0.000 0.500 0.500
4 Zn 0.500 0.000 0.500
5 Zn 0.500 0.500 0.000
6 Ni 0.082 0.082 0.687
7 Ni 0.082 0.687 0.082
8 Ni 0.136 0.577 0.577
9 Ni 0.313 0.918 0.918
10 Ni 0.423 0.423 0.864
11 Ni 0.423 0.864 0.423
12 Ni 0.577 0.136 0.577
13 Ni 0.577 0.577 0.136
14 Ni 0.687 0.082 0.082
15 Ni 0.864 0.423 0.423
16 Ni 0.918 0.313 0.918
17 Ni 0.918 0.918 0.313
18 Ir 0.500 0.500 0.500


Structure and simulated X-ray powder pattern of Ca8Mn3N8 (a structure optimized by DFT (GGA-PBE); λ = 1.5418 Å (Cu Kα)).

Largest 8 diffraction maxima, sorted by position, 10° ≤ 2θ ≤ 90°:
- d 4.086, rel. 36
- d 2.903, rel. 24
- d 2.854, rel. 55
- d 2.825, rel. 24
- d 2.697, rel. 60
- d 2.498, rel. 100
- d 2.479, rel. 29
- d 2.410, rel. 24

Lattice parameters (Å, degrees): 9.259 9.259 7.158 105.52 105.52 31.30
Fractional coordinates of all 19 atoms:
1 Ca 0.028 0.028 0.258
2 Ca 0.199 0.199 0.803
3 Ca 0.333 0.333 0.529
4 Ca 0.401 0.401 0.045
5 Ca 0.599 0.599 0.955
6 Ca 0.667 0.667 0.471
7 Ca 0.801 0.801 0.197
8 Ca 0.972 0.972 0.742
9 Mn 0.187 0.187 0.204
10 Mn 0.500 0.500 0.500
11 Mn 0.813 0.813 0.796
12 N 0.102 0.102 0.001
13 N 0.176 0.176 0.437
14 N 0.281 0.281 0.172
15 N 0.474 0.474 0.716
16 N 0.526 0.526 0.284
17 N 0.719 0.719 0.828
18 N 0.824 0.824 0.563
19 N 0.898 0.898 0.999